[1]
TlTeH3: theoretical powder X-ray diffraction pattern (a wavelength of 1.5418 Å), based on a DFT-relaxed cell (PBE, Alexandria).

Atomic structure:
a = 3.942 Å, b = 10.312 Å, c = 9.975 Å
α = 90.00°, β = 104.70°, γ = 90.00°
Space group P2_1/c (No. 14)
Asymmetric unit:
Tl 0.129 0.249 0.474 [4 per cell]
Te 0.150 0.503 0.762 [4 per cell]
H 0.249 0.617 0.898 [4 per cell]
H 0.341 0.017 0.725 [4 per cell]
H 0.442 0.529 0.501 [4 per cell]

The 10 most intense peaks (15 to 90 degrees two-theta), most intense first:
| (hkl) | 2theta | I (rel.) |
| --- | --- | --- |
| 0 2 2 | 25.28 | 100 |
| 1 1 -2 | 27.28 | 28 |
| 0 4 0 | 34.80 | 28 |
| 1 0 0 | 23.33 | 27 |
| 1 1 0 | 24.90 | 21 |
| 1 2 2 | 37.85 | 20 |
| 1 2 -2 | 31.21 | 18 |
| 0 0 4 | 37.28 | 15 |
| 0 4 4 | 51.92 | 13 |
| 1 1 -4 | 39.79 | 12 |

[2]
CaEuHfGaO6: theoretical powder X-ray diffraction pattern (a wavelength of 1.5418 Å), based on a DFT-relaxed cell (PBE, Alexandria).

Atomic structure:
a = 7.991 Å, b = 7.991 Å, c = 7.991 Å
α = 90.00°, β = 90.00°, γ = 90.00°
Space group F-43m (No. 216)
Asymmetric unit:
Ca 0.000 0.000 0.000 [4 per cell]
Eu 0.000 0.000 0.500 [4 per cell]
Hf 0.250 0.250 0.250 [4 per cell]
Ga 0.250 0.250 0.750 [4 per cell]
O 0.005 0.250 0.750 [24 per cell]

The 10 most intense peaks (15 to 90 degrees two-theta), most intense first:
| (hkl) | 2theta | I (rel.) |
| --- | --- | --- |
| 2 2 0 | 31.67 | 100 |
| 4 2 2 | 56.41 | 39 |
| 4 0 0 | 45.40 | 31 |
| 1 1 1 | 19.24 | 28 |
| 4 4 0 | 66.15 | 19 |
| 3 1 1 | 37.32 | 18 |
| 6 2 0 | 75.21 | 17 |
| 3 3 1 | 49.74 | 8 |
| 4 4 4 | 83.89 | 6 |
| 3 3 3 | 60.17 | 6 |

[3]
LiPmCu5: theoretical powder X-ray diffraction pattern (a wavelength of 1.5418 Å), based on a DFT-relaxed cell (PBE, Alexandria).

Atomic structure:
a = 8.145 Å, b = 5.141 Å, c = 10.299 Å
α = 90.00°, β = 90.00°, γ = 90.00°
Space group Pnma (No. 62)
Asymmetric unit:
Li 0.139 0.250 0.139 [4 per cell]
Pm 0.245 0.750 0.937 [4 per cell]
Cu 0.063 0.250 0.897 [4 per cell]
Cu 0.069 0.504 0.688 [8 per cell]
Cu 0.094 0.750 0.483 [4 per cell]
Cu 0.181 0.750 0.249 [4 per cell]

The 10 most intense peaks (15 to 90 degrees two-theta), most intense first:
| (hkl) | 2theta | I (rel.) |
| --- | --- | --- |
| 3 1 1 | 38.50 | 100 |
| 1 0 5 | 45.43 | 45 |
| 1 0 4 | 36.60 | 27 |
| 1 2 2 | 40.77 | 21 |
| 3 3 1 | 64.99 | 20 |
| 0 2 2 | 39.17 | 19 |
| 1 0 2 | 20.40 | 18 |
| 1 1 1 | 22.19 | 18 |
| 2 2 0 | 41.54 | 16 |
| 0 2 0 | 34.90 | 14 |